DyVBrO4: calculated X-ray diffraction stick pattern (Cu Kα, 1.54184 Å), based on a crystal structure in Alexandria, relaxed with PBE+U.

Principal peaks in the range 2θ = 10–80°, sorted by position:
2θ/deg  I_rel
15.31  18
17.95  34
21.99  43
27.04  100
27.81  23
28.13  57
29.95  29
32.62  25
34.54  19
54.72  17

Crystal structure
```
DyVBrO4
1.0
5.9419 -3.1723 0.0000
5.9419 3.1723 0.0000
-1.5324 0.0000 6.5988
Dy V Br O
2 2 2 8
direct
0.2059 0.2059 0.3414
0.7941 0.7941 0.6586
0.1318 0.1318 0.7596
0.8682 0.8682 0.2404
0.4748 0.4748 0.8258
0.5252 0.5252 0.1742
0.0148 0.0148 0.2692
0.0339 0.6094 0.3759
0.1985 0.1985 0.0110
0.3906 0.9661 0.6241
0.6094 0.0339 0.3759
0.8015 0.8015 0.9890
0.9661 0.3906 0.6241
0.9852 0.9852 0.7308
```